TlTeSe2: calculated powder XRD pattern (a wavelength of 1.5418 Å), based on a structure optimized by DFT (PBE).
No peak broadening, texture or thermal motion is included.

Principal peaks in the range 10° ≤ 2θ ≤ 90°, low angle first:
two_theta	d (Å)	I (rel.)
24.09	3.695	14
34.33	2.612	100
49.33	1.847	18
61.48	1.508	37
72.34	1.306	11
82.58	1.168	16

Crystal structure
```
data_TlTeSe2
_chemical_formula_sum 'Tl1 Te1 Se2'
_space_group_name_H-M_alt 'P 1'
_space_group_IT_number 1
_space_group_name_Hall 'P 1'
_cell_length_a 5.2249
_cell_length_b 5.2249
_cell_length_c 5.2249
_cell_angle_alpha 60.00
_cell_angle_beta 60.00
_cell_angle_gamma 60.00
loop_
_atom_site_label
_atom_site_type_symbol
_atom_site_fract_x
_atom_site_fract_y
_atom_site_fract_z
Tl1 Tl 0.0000 0.0000 0.0000
Te1 Te 0.5000 0.5000 0.5000
Se1 Se 0.2500 0.2500 0.2500
Se2 Se 0.7500 0.7500 0.7500
```

=====

Np3TeBr7: calculated powder XRD pattern (a wavelength of 1.5418 Å), based on a structure optimized by DFT (PBE).
No peak broadening, texture or thermal motion is included.

Principal peaks in the range 10° ≤ 2θ ≤ 90°, low angle first:
two_theta	d (Å)	I (rel.)
11.82	7.489	35
12.57	7.043	76
26.97	3.306	100
34.98	2.565	71
41.78	2.162	38
45.60	1.989	34

Crystal structure
```
data_Np3TeBr7
_chemical_formula_sum 'Np3 Te1 Br7'
_space_group_name_H-M_alt 'P 1'
_space_group_IT_number 1
_space_group_name_Hall 'P 1'
_cell_length_a 8.6473
_cell_length_b 8.6473
_cell_length_c 7.0431
_cell_angle_alpha 90.00
_cell_angle_beta 90.00
_cell_angle_gamma 120.00
loop_
_atom_site_label
_atom_site_type_symbol
_atom_site_fract_x
_atom_site_fract_y
_atom_site_fract_z
Np1 Np 0.1687 0.3374 0.0000
Np2 Np 0.1687 0.8313 0.0000
Np3 Np 0.6626 0.8313 0.0000
Te1 Te 0.3333 0.6667 0.2567
Br1 Br 0.0000 0.0000 0.7651
Br2 Br 0.0152 0.5076 0.7768
Br3 Br 0.3139 0.1569 0.2184
Br4 Br 0.4924 0.5076 0.7768
Br5 Br 0.4924 0.9848 0.7768
Br6 Br 0.8431 0.1569 0.2184
Br7 Br 0.8431 0.6861 0.2184
```

=====

Ca3In3Au2: calculated powder XRD pattern (a wavelength of 1.5418 Å), based on a structure optimized by DFT (PBE).
No peak broadening, texture or thermal motion is included.

Principal peaks in the range 10° ≤ 2θ ≤ 90°, low angle first:
two_theta	d (Å)	I (rel.)
18.81	4.717	75
20.94	4.242	53
33.84	2.649	100
35.63	2.520	50
38.02	2.367	80
39.55	2.279	62

Crystal structure
```
data_Ca3In3Au2
_chemical_formula_sum 'Ca12 In12 Au8'
_space_group_name_H-M_alt 'P 1'
_space_group_IT_number 1
_space_group_name_Hall 'P 1'
_cell_length_a 7.7942
_cell_length_b 18.2231
_cell_length_c 5.9259
_cell_angle_alpha 90.00
_cell_angle_beta 90.00
_cell_angle_gamma 90.00
loop_
_atom_site_label
_atom_site_type_symbol
_atom_site_fract_x
_atom_site_fract_y
_atom_site_fract_z
Ca1 Ca 0.0362 0.1102 0.1169
Ca2 Ca 0.0362 0.3898 0.1169
Ca3 Ca 0.1647 0.2500 0.6657
Ca4 Ca 0.3353 0.7500 0.1657
Ca5 Ca 0.4638 0.6102 0.6169
Ca6 Ca 0.4638 0.8898 0.6169
Ca7 Ca 0.5362 0.1102 0.3831
Ca8 Ca 0.5362 0.3898 0.3831
Ca9 Ca 0.6647 0.2500 0.8343
Ca10 Ca 0.8353 0.7500 0.3343
Ca11 Ca 0.9638 0.6102 0.8831
Ca12 Ca 0.9638 0.8898 0.8831
In1 In 0.1713 0.7500 0.6727
In2 In 0.1837 0.0295 0.6188
In3 In 0.1837 0.4705 0.6188
In4 In 0.3163 0.5295 0.1188
In5 In 0.3163 0.9705 0.1188
In6 In 0.3287 0.2500 0.1727
In7 In 0.6713 0.7500 0.8273
In8 In 0.6837 0.0295 0.8812
In9 In 0.6837 0.4705 0.8812
In10 In 0.8163 0.5295 0.3812
In11 In 0.8163 0.9705 0.3812
In12 In 0.8287 0.2500 0.3273
Au1 Au 0.1076 0.6250 0.3942
Au2 Au 0.1076 0.8750 0.3942
Au3 Au 0.3924 0.1250 0.8942
Au4 Au 0.3924 0.3750 0.8942
Au5 Au 0.6076 0.6250 0.1058
Au6 Au 0.6076 0.8750 0.1058
Au7 Au 0.8924 0.1250 0.6058
Au8 Au 0.8924 0.3750 0.6058
```

=====

PuBr2Cl: calculated powder XRD pattern (a wavelength of 1.5418 Å), based on a structure optimized by DFT (PBE).
No peak broadening, texture or thermal motion is included.

Principal peaks in the range 10° ≤ 2θ ≤ 90°, low angle first:
two_theta	d (Å)	I (rel.)
11.69	7.572	100
16.40	5.405	88
27.35	3.261	65
31.87	2.808	27
32.25	2.776	28
36.36	2.471	27

Crystal structure
```
data_PuBr2Cl
_chemical_formula_sum 'Pu1 Br2 Cl1'
_space_group_name_H-M_alt 'P 1'
_space_group_IT_number 1
_space_group_name_Hall 'P 1'
_cell_length_a 4.2709
_cell_length_b 5.4065
_cell_length_c 7.8670
_cell_angle_alpha 88.88
_cell_angle_beta 74.30
_cell_angle_gamma 90.00
loop_
_atom_site_label
_atom_site_type_symbol
_atom_site_fract_x
_atom_site_fract_y
_atom_site_fract_z
Pu1 Pu 0.0000 0.0000 0.0000
Br1 Br 0.3728 0.9927 0.2550
Br2 Br 0.6269 0.0072 0.7450
Cl1 Cl 0.9979 0.5000 0.0000
```

=====

Ho2Sn3Pd4: calculated powder XRD pattern (a wavelength of 1.5418 Å), based on a structure optimized by DFT (PBE).
No peak broadening, texture or thermal motion is included.

Principal peaks in the range 10° ≤ 2θ ≤ 90°, low angle first:
two_theta	d (Å)	I (rel.)
33.21	2.698	85
33.72	2.658	53
37.65	2.389	42
38.21	2.355	100
40.78	2.213	40
68.07	1.377	34

Crystal structure
```
data_Ho2Sn3Pd4
_chemical_formula_sum 'Ho4 Sn6 Pd8'
_space_group_name_H-M_alt 'P 1'
_space_group_IT_number 1
_space_group_name_Hall 'P 1'
_cell_length_a 8.7681
_cell_length_b 8.7681
_cell_length_c 7.4898
_cell_angle_alpha 90.00
_cell_angle_beta 90.00
_cell_angle_gamma 139.58
loop_
_atom_site_label
_atom_site_type_symbol
_atom_site_fract_x
_atom_site_fract_y
_atom_site_fract_z
Ho1 Ho 0.1016 0.8984 0.9068
Ho2 Ho 0.3984 0.6016 0.4068
Ho3 Ho 0.6016 0.3984 0.5932
Ho4 Ho 0.8984 0.1016 0.0932
Sn1 Sn 0.0000 0.0000 0.5000
Sn2 Sn 0.0121 0.4879 0.7500
Sn3 Sn 0.4879 0.0121 0.2500
Sn4 Sn 0.5000 0.5000 0.0000
Sn5 Sn 0.5121 0.9879 0.7500
Sn6 Sn 0.9879 0.5121 0.2500
Pd1 Pd 0.1656 0.8344 0.5214
Pd2 Pd 0.1813 0.3187 0.7500
Pd3 Pd 0.3187 0.1813 0.2500
Pd4 Pd 0.3344 0.6656 0.0214
Pd5 Pd 0.6656 0.3344 0.9786
Pd6 Pd 0.6813 0.8187 0.7500
Pd7 Pd 0.8187 0.6813 0.2500
Pd8 Pd 0.8344 0.1656 0.4786
```

=====

Pm4HgPb3: calculated powder XRD pattern (a wavelength of 1.5418 Å), based on a structure optimized by DFT (PBE).
No peak broadening, texture or thermal motion is included.

Principal peaks in the range 10° ≤ 2θ ≤ 90°, low angle first:
two_theta	d (Å)	I (rel.)
31.87	2.808	100
34.94	2.568	39
40.74	2.215	13
50.25	1.816	14
54.74	1.677	22
60.74	1.525	32

Crystal structure
```
data_Pm4HgPb3
_chemical_formula_sum 'Pm4 Hg1 Pb3'
_space_group_name_H-M_alt 'P 1'
_space_group_IT_number 1
_space_group_name_Hall 'P 1'
_cell_length_a 9.5745
_cell_length_b 9.5726
_cell_length_c 5.1355
_cell_angle_alpha 74.46
_cell_angle_beta 74.42
_cell_angle_gamma 31.12
loop_
_atom_site_label
_atom_site_type_symbol
_atom_site_fract_x
_atom_site_fract_y
_atom_site_fract_z
Pm1 Pm 0.1224 0.1224 0.3776
Pm2 Pm 0.3776 0.3776 0.1224
Pm3 Pm 0.6224 0.6224 0.8776
Pm4 Pm 0.8776 0.8776 0.6224
Hg1 Hg 0.0000 0.0000 0.0000
Pb1 Pb 0.2492 0.2492 0.7508
Pb2 Pb 0.5000 0.5000 0.5000
Pb3 Pb 0.7508 0.7508 0.2492
```